(1)
Structure and calculated powder diffractogram of Li4Cr2F9 (a cell relaxed with PBE+U; a wavelength of 1.5418 Å).
Intensities are scaled so that the largest is 1000.

Principal peaks in the range 2θ from 10° to 90°, sorted by position:
index, Position (°2θ), I_rel
0 1 0, 18.9, 1000
1 0 0, 20.0, 865
1 1 0, 20.3, 775
1 1 4, 32.3, 447
-1 1 3, 38.1, 282
0 2 0, 38.3, 380
0 0 6, 38.5, 348
2 1 3, 40.9, 401

Atomic structure:
```
data_Li4Cr2F9
_cell_length_a 4.991
_cell_length_b 5.290
_cell_length_c 14.050
_cell_angle_alpha 87.43
_cell_angle_beta 89.86
_cell_angle_gamma 62.79
_space_group_name_H-M_alt 'P -1'
_space_group_IT_number 2
loop_
_space_group_symop_operation_xyz
'x,y,z'
'-x,-y,-z'
loop_
_atom_site_label
_atom_site_type_symbol
_atom_site_fract_x
_atom_site_fract_y
_atom_site_fract_z
Li1 Li 0.168 0.194 0.025
Li2 Li 0.172 0.152 0.509
Li3 Li 0.181 0.120 0.302
Li4 Li 0.189 0.128 0.819
Cr1 Cr 0.424 0.486 0.616
Cr2 Cr 0.496 0.509 0.156
F1 F 0.108 0.887 0.599
F2 F 0.163 0.536 0.079
F3 F 0.185 0.806 0.908
F4 F 0.199 0.794 0.235
F5 F 0.204 0.489 0.748
F6 F 0.230 0.500 0.456
F7 F 0.464 0.920 0.405
F8 F 0.465 0.181 0.916
F9 F 0.475 0.209 0.235
```

=====

(2)
Structure and calculated powder diffractogram of Li3CrF6 (a cell relaxed with PBE+U; a wavelength of 1.5418 Å).
Intensities are scaled so that the largest is 1000.

Principal peaks in the range 2θ from 10° to 90°, sorted by position:
index, Position (°2θ), I_rel
0 0 2, 19.9, 226
1 0 1, 20.8, 1000
1 1 0, 26.0, 483
1 1 2, 33.0, 287
1 1 3, 40.2, 615
2 1 3, 52.2, 404
2 2 0, 53.4, 220
3 0 3, 65.8, 235

Atomic structure:
```
data_Li3CrF6
_cell_length_a 4.851
_cell_length_b 4.851
_cell_length_c 8.913
_cell_angle_alpha 90.00
_cell_angle_beta 90.00
_cell_angle_gamma 90.00
_space_group_name_H-M_alt 'P -4 n 2'
_space_group_IT_number 118
loop_
_space_group_symop_operation_xyz
'x,y,z'
'y,-x,-z'
'-x,-y,z'
'-y,x,-z'
'-x+1/2,y+1/2,z+1/2'
'-y+1/2,-x+1/2,-z+1/2'
'x+1/2,-y+1/2,z+1/2'
'y+1/2,x+1/2,-z+1/2'
loop_
_atom_site_label
_atom_site_type_symbol
_atom_site_fract_x
_atom_site_fract_y
_atom_site_fract_z
Li1 Li 0.000 0.000 0.000
Li2 Li 0.000 0.500 0.099
Cr1 Cr 0.000 0.500 0.750
F1 F 0.182 0.297 0.912
F2 F 0.214 0.286 0.250
```

=====

(3)
Structure and calculated powder diffractogram of Na3Li2CrF9 (a cell relaxed with PBE+U; a wavelength of 1.5418 Å).
Intensities are scaled so that the largest is 1000.

Principal peaks in the range 2θ from 10° to 90°, sorted by position:
index, Position (°2θ), I_rel
1 0 0, 18.7, 424
0 1 1, 22.7, 815
1 0 2, 32.0, 418
1 1 0, 32.6, 203
0 2 1, 40.1, 633
2 0 2, 46.3, 1000
2 1 2, 57.8, 175
2 2 0, 68.3, 261

Atomic structure:
```
data_Na3Li2CrF9
_cell_length_a 5.4933
_cell_length_b 5.4933
_cell_length_c 6.9293
_cell_angle_alpha 90.00
_cell_angle_beta 90.00
_cell_angle_gamma 120.00
_space_group_name_H-M_alt 'P -3 m 1'
_space_group_IT_number 164
_space_group_name_Hall '-P 3 2"'
loop_
_atom_site_label
_atom_site_type_symbol
_atom_site_fract_x
_atom_site_fract_y
_atom_site_fract_z
Na1 Na 0.0000 0.0000 0.0000
Na2 Na 0.3333 0.6667 0.7532
Li1 Li 0.3333 0.6667 0.1601
Cr1 Cr 0.0000 0.0000 0.5000
F1 F 0.0000 0.5000 0.0000
F2 F 0.1595 0.3189 0.3408
```

=====

(4)
Structure and calculated powder diffractogram of LiCr6O4F4 (a cell relaxed with PBE+U; a wavelength of 1.5418 Å).
Intensities are scaled so that the largest is 1000.

Principal peaks in the range 2θ from 10° to 90°, sorted by position:
index, Position (°2θ), I_rel
0 1 0, 16.1, 492
1 0 -1, 21.2, 542
2 1 0, 32.1, 1000
0 2 0, 32.5, 296
-1 1 2, 37.6, 303
1 -1 2, 38.6, 331
2 -1 0, 40.5, 266
2 3 0, 51.6, 201

Atomic structure:
```
data_LiCr6O4F4
_cell_length_a 5.721
_cell_length_b 5.742
_cell_length_c 6.492
_cell_angle_alpha 87.49
_cell_angle_beta 89.27
_cell_angle_gamma 73.97
_space_group_name_H-M_alt 'P 1'
_space_group_IT_number 1
loop_
_space_group_symop_operation_xyz
'x,y,z'
loop_
_atom_site_label
_atom_site_type_symbol
_atom_site_fract_x
_atom_site_fract_y
_atom_site_fract_z
Li1 Li 0.000 0.000 0.000
Cr1 Cr 0.088 0.042 0.395
Cr2 Cr 0.312 0.537 0.495
Cr3 Cr 0.356 0.537 0.996
Cr4 Cr 0.546 0.031 0.842
Cr5 Cr 0.819 0.520 0.749
Cr6 Cr 0.853 0.554 0.242
O1 O 0.036 0.376 0.503
O2 O 0.127 0.732 0.231
O3 O 0.527 0.375 0.736
O4 O 0.632 0.696 0.996
F1 F 0.033 0.776 0.769
F2 F 0.139 0.285 0.995
F3 F 0.429 0.854 0.509
F4 F 0.774 0.207 0.231
```

=====

(5)
Structure and calculated powder diffractogram of Li2CrPO4F (a cell relaxed with PBE+U; a wavelength of 1.5418 Å).
Intensities are scaled so that the largest is 1000.

Principal peaks in the range 2θ from 10° to 90°, sorted by position:
index, Position (°2θ), I_rel
0 1 0, 17.0, 331
0 1 -2, 25.9, 1000
1 0 -2, 26.4, 397
1 1 0, 26.8, 746
-1 1 2, 34.6, 241
1 -1 2, 34.7, 216
2 1 -2, 39.8, 158
1 -3 2, 53.4, 197

Atomic structure:
```
data_Li2CrPO4F
_cell_length_a 5.313
_cell_length_b 5.564
_cell_length_c 7.566
_cell_angle_alpha 107.62
_cell_angle_beta 106.92
_cell_angle_gamma 94.31
_space_group_name_H-M_alt 'P 1'
_space_group_IT_number 1
loop_
_space_group_symop_operation_xyz
'x,y,z'
loop_
_atom_site_label
_atom_site_type_symbol
_atom_site_fract_x
_atom_site_fract_y
_atom_site_fract_z
Li1 Li 0.000 0.000 0.000
Li2 Li 0.024 0.324 0.386
Li3 Li 0.247 0.557 0.172
Li4 Li 0.623 0.649 0.627
Cr1 Cr 0.499 0.115 0.550
Cr2 Cr 0.506 0.107 0.038
P1 P 0.145 0.448 0.782
P2 P 0.859 0.787 0.319
O1 O 0.134 0.890 0.480
O2 O 0.188 0.716 0.937
O3 O 0.196 0.258 0.897
O4 O 0.336 0.436 0.658
O5 O 0.623 0.783 0.405
O6 O 0.814 0.972 0.196
O7 O 0.856 0.378 0.628
O8 O 0.861 0.509 0.196
F1 F 0.327 0.239 0.251
F2 F 0.661 0.974 0.819
```

=====

(6)
Structure and calculated powder diffractogram of Li2CrPO4F (a cell relaxed with PBE+U; a wavelength of 1.5418 Å).
Intensities are scaled so that the largest is 1000.

Principal peaks in the range 2θ from 10° to 90°, sorted by position:
index, Position (°2θ), I_rel
0 1 -1, 17.4, 162
0 1 1, 24.7, 1000
1 -1 1, 25.8, 264
-1 1 1, 26.0, 144
1 1 -2, 27.3, 548
1 -1 2, 34.4, 112
-1 2 1, 40.6, 147
2 -2 2, 53.0, 142

Atomic structure:
```
data_Li2CrPO4F
_cell_length_a 5.512
_cell_length_b 5.606
_cell_length_c 7.619
_cell_angle_alpha 108.66
_cell_angle_beta 107.46
_cell_angle_gamma 91.56
_space_group_name_H-M_alt 'P 1'
_space_group_IT_number 1
loop_
_space_group_symop_operation_xyz
'x,y,z'
loop_
_atom_site_label
_atom_site_type_symbol
_atom_site_fract_x
_atom_site_fract_y
_atom_site_fract_z
Li1 Li 0.000 0.000 0.000
Li2 Li 0.010 0.497 0.902
Li3 Li 0.173 0.824 0.346
Li4 Li 0.803 0.812 0.611
Cr1 Cr 0.500 0.820 0.991
Cr2 Cr 0.999 0.320 0.477
P1 P 0.414 0.439 0.251
P2 P 0.580 0.202 0.726
O1 O 0.244 0.499 0.385
O2 O 0.301 0.130 0.585
O3 O 0.331 0.622 0.129
O4 O 0.351 0.160 0.113
O5 O 0.639 0.477 0.873
O6 O 0.645 0.003 0.832
O7 O 0.702 0.515 0.374
O8 O 0.786 0.172 0.618
F1 F 0.065 0.728 0.788
F2 F 0.911 0.949 0.203
```

=====

(7)
Structure and calculated powder diffractogram of Li3VCrP2O8F2 (a cell relaxed with PBE+U; a wavelength of 1.5418 Å).
Intensities are scaled so that the largest is 1000.

Principal peaks in the range 2θ from 10° to 90°, sorted by position:
index, Position (°2θ), I_rel
0 1 0, 17.5, 185
1 0 -1, 17.9, 482
0 1 1, 25.5, 816
1 0 1, 25.9, 1000
1 -1 1, 26.4, 323
1 1 -2, 28.0, 913
1 2 -1, 38.7, 166
1 2 -3, 44.2, 215

Atomic structure:
```
data_Li3VCrP2O8F2
_cell_length_a 5.377
_cell_length_b 5.423
_cell_length_c 7.534
_cell_angle_alpha 107.71
_cell_angle_beta 109.10
_cell_angle_gamma 93.91
_space_group_name_H-M_alt 'P 1'
_space_group_IT_number 1
loop_
_space_group_symop_operation_xyz
'x,y,z'
loop_
_atom_site_label
_atom_site_type_symbol
_atom_site_fract_x
_atom_site_fract_y
_atom_site_fract_z
Li1 Li 0.000 0.000 0.000
Li2 Li 0.005 0.194 0.376
Li3 Li 0.988 0.809 0.624
V1 V 0.497 0.002 0.501
Cr1 Cr 0.996 0.501 0.001
P1 P 0.392 0.599 0.750
P2 P 0.601 0.404 0.252
O1 O 0.182 0.669 0.850
O2 O 0.309 0.319 0.106
O3 O 0.322 0.297 0.627
O4 O 0.329 0.751 0.598
O5 O 0.664 0.253 0.405
O6 O 0.671 0.706 0.375
O7 O 0.684 0.685 0.896
O8 O 0.811 0.334 0.152
F1 F 0.153 0.919 0.258
F2 F 0.841 0.084 0.743
```

=====

(8)
Structure and calculated powder diffractogram of Li2SmCrF8 (a cell relaxed with PBE+U; a wavelength of 1.5418 Å).
Intensities are scaled so that the largest is 1000.

Principal peaks in the range 2θ from 10° to 90°, sorted by position:
index, Position (°2θ), I_rel
0 0 1, 13.0, 275
0 1 0, 18.5, 963
1 0 0, 18.9, 883
1 1 0, 26.1, 1000
1 -1 0, 27.1, 528
0 1 -2, 32.9, 250
-1 1 2, 37.8, 410
1 -1 2, 38.2, 486

Atomic structure:
```
data_Li2SmCrF8
_cell_length_a 4.707
_cell_length_b 4.798
_cell_length_c 6.834
_cell_angle_alpha 87.36
_cell_angle_beta 88.25
_cell_angle_gamma 87.66
_space_group_name_H-M_alt 'P -1'
_space_group_IT_number 2
loop_
_space_group_symop_operation_xyz
'x,y,z'
'-x,-y,-z'
loop_
_atom_site_label
_atom_site_type_symbol
_atom_site_fract_x
_atom_site_fract_y
_atom_site_fract_z
Li1 Li 0.025 0.026 0.291
Sm1 Sm 0.500 0.500 0.000
Cr1 Cr 0.500 0.500 0.500
F1 F 0.167 0.196 0.039
F2 F 0.210 0.223 0.506
F3 F 0.304 0.696 0.716
F4 F 0.315 0.708 0.279
```

=====

(9)
Structure and calculated powder diffractogram of Li2TbCrF8 (a cell relaxed with PBE+U; a wavelength of 1.5418 Å).
Intensities are scaled so that the largest is 1000.

Principal peaks in the range 2θ from 10° to 90°, sorted by position:
index, Position (°2θ), I_rel
0 0 1, 18.6, 1000
0 1 1, 23.0, 237
1 0 -1, 26.2, 303
1 0 1, 26.7, 293
0 2 1, 33.0, 343
1 2 1, 38.3, 438
2 0 -1, 42.1, 239
1 2 -2, 50.7, 218

Atomic structure:
```
data_Li2TbCrF8
_cell_length_a 4.760
_cell_length_b 6.614
_cell_length_c 4.768
_cell_angle_alpha 90.00
_cell_angle_beta 90.97
_cell_angle_gamma 90.00
_space_group_name_H-M_alt 'P 1 2/m 1'
_space_group_IT_number 10
loop_
_space_group_symop_operation_xyz
'x,y,z'
'-x,-y,-z'
'-x,y,-z'
'x,-y,z'
loop_
_atom_site_label
_atom_site_type_symbol
_atom_site_fract_x
_atom_site_fract_y
_atom_site_fract_z
Li1 Li 0.000 0.232 0.000
Tb1 Tb 0.500 0.500 0.500
Cr1 Cr 0.500 0.000 0.500
F1 F 0.182 0.500 0.813
F2 F 0.214 0.000 0.783
F3 F 0.306 0.224 0.303
```

=====

(10)
Structure and calculated powder diffractogram of Li2ZnCrF8 (a cell relaxed with PBE+U; a wavelength of 1.5418 Å).
Intensities are scaled so that the largest is 1000.

Principal peaks in the range 2θ from 10° to 90°, sorted by position:
index, Position (°2θ), I_rel
1 1 0, 19.0, 1000
0 2 0, 26.3, 366
2 0 0, 27.8, 275
1 1 2, 34.3, 229
0 2 2, 39.0, 604
3 1 0, 44.3, 259
1 3 2, 51.8, 262
3 3 2, 67.1, 199

Atomic structure:
```
data_Li2ZnCrF8
_cell_length_a 6.428
_cell_length_b 6.772
_cell_length_c 6.319
_cell_angle_alpha 90.00
_cell_angle_beta 90.00
_cell_angle_gamma 90.00
_space_group_name_H-M_alt 'C m m m'
_space_group_IT_number 65
_space_group_name_Hall '-C 2 2'
loop_
_atom_site_label
_atom_site_type_symbol
_atom_site_fract_x
_atom_site_fract_y
_atom_site_fract_z
Li1 Li 0.000 0.000 0.233
Zn1 Zn 0.000 0.500 0.000
Cr1 Cr 0.000 0.500 0.500
F1 F 0.000 0.309 0.283
F2 F 0.204 0.000 0.000
F3 F 0.215 0.000 0.500
```

=====

(11)
Structure and calculated powder diffractogram of MgCrF6 (a cell relaxed with PBE+U; a wavelength of 1.5418 Å).
Intensities are scaled so that the largest is 1000.

Principal peaks in the range 2θ from 10° to 90°, sorted by position:
index, Position (°2θ), I_rel
0 0 3, 18.5, 1000
1 0 1, 20.5, 790
0 1 2, 23.2, 502
1 1 3, 39.2, 901
1 1 6, 51.7, 504
3 0 0, 61.3, 223
0 3 3, 64.7, 135
2 -1 9, 68.8, 179

Atomic structure:
```
data_MgCrF6
_cell_length_a 5.2364
_cell_length_b 5.2364
_cell_length_c 14.3787
_cell_angle_alpha 90.00
_cell_angle_beta 90.00
_cell_angle_gamma 120.00
_space_group_name_H-M_alt 'R 3'
_space_group_IT_number 146
_space_group_name_Hall 'R 3'
loop_
_atom_site_label
_atom_site_type_symbol
_atom_site_fract_x
_atom_site_fract_y
_atom_site_fract_z
Mg1 Mg 0.0000 0.0000 0.0000
Cr1 Cr 0.0000 0.0000 0.6650
F1 F 0.0230 0.3800 0.2614
F2 F 0.0231 0.7147 0.7366
```

=====

(12)
Structure and calculated powder diffractogram of MgCrF6 (a cell relaxed with PBE+U; a wavelength of 1.5418 Å).
Intensities are scaled so that the largest is 1000.

Principal peaks in the range 2θ from 10° to 90°, sorted by position:
index, Position (°2θ), I_rel
1 0 1, 21.0, 161
0 1 2, 23.9, 1000
1 0 4, 33.4, 115
2 -1 3, 40.4, 312
0 2 4, 49.0, 220
2 -1 6, 54.2, 265
3 -2 2, 56.2, 109
3 0 0, 62.4, 94

Atomic structure:
```
data_MgCrF6
_cell_length_a 5.1544
_cell_length_b 5.1544
_cell_length_c 13.4456
_cell_angle_alpha 90.00
_cell_angle_beta 90.00
_cell_angle_gamma 120.00
_space_group_name_H-M_alt 'R -3'
_space_group_IT_number 148
_space_group_name_Hall '-R 3'
loop_
_atom_site_label
_atom_site_type_symbol
_atom_site_fract_x
_atom_site_fract_y
_atom_site_fract_z
Mg1 Mg 0.0000 0.0000 0.0000
Cr1 Cr 0.0000 0.0000 0.5000
F1 F 0.0151 0.4071 0.2470
```

=====

Question: What is the formula in the ninth record?
Answer: Li2TbCrF8